Record 1
The following is a theoretical X-ray powder pattern of Ba4U3AgS12. It was derived from the PBE geometry in Alexandria, using a wavelength of 1.5418 Å.

Peak list (10 most intense, 10 to 80 degrees two-theta, in order of rising 2θ)
two_theta  Rel. int.
17.08  13
24.25  100
34.56  43
38.79  7
42.67  46
49.68  30
56.02  21
61.92  10
67.52  25
78.11  13

```
20
Lattice="-5.1908 5.1908 5.1908 5.1908 -5.1908 5.1908 5.1908 5.1908 -5.1908" Properties=species:S:1:pos:R:3 pbc="T T T"
Ba 2.5954 2.5954 -2.5954
Ba 2.5954 -2.5954 2.5954
Ba -2.5954 2.5954 2.5954
Ba 2.5954 2.5954 2.5954
U 5.1908 0.0000 0.0000
U 0.0000 5.1908 0.0000
U 0.0000 0.0000 5.1908
Ag 0.0000 0.0000 0.0000
S 2.6745 0.0000 0.0000
S 7.7071 0.0000 0.0000
S 5.1908 2.5954 0.0000
S 5.1908 0.0000 2.5954
S 0.0000 2.6745 0.0000
S 0.0000 0.0000 2.6745
S 2.5954 5.1908 0.0000
S 2.5954 0.0000 5.1908
S 0.0000 7.7071 0.0000
S 0.0000 0.0000 7.7071
S 0.0000 5.1908 2.5954
S 0.0000 2.5954 5.1908
```

Record 2
The following is a theoretical X-ray powder pattern of Ba2YAg5S6. It was derived from the PBE geometry in Alexandria, using a wavelength of 1.5418 Å.

Peak list (10 most intense, 10 to 80 degrees two-theta, in order of rising 2θ)
two_theta  Rel. int.
23.79  17
27.60  37
28.56  21
29.19  100
31.90  33
32.22  17
38.65  44
40.11  19
41.93  28
43.00  32

```
14
Lattice="7.0327 -2.1035 0.0000 7.0327 2.1035 0.0000 -1.0377 0.0000 11.2222" Properties=species:S:1:pos:R:3 pbc="T T T"
Ba 3.1470 0.0000 3.3354
Ba 9.8807 0.0000 7.8868
Y -0.5188 0.0000 5.6111
Ag 1.0667 0.0000 10.7618
Ag 6.0224 0.0000 8.3586
Ag 7.0327 0.0000 0.0000
Ag 7.0053 0.0000 2.8636
Ag 11.9610 0.0000 0.4604
S 0.4895 0.0000 8.2203
S 3.8812 0.0000 10.0801
S 4.7077 0.0000 6.1346
S 8.3199 0.0000 5.0876
S 9.1465 0.0000 1.1421
S 12.5382 0.0000 3.0019
```

Record 3
The following is a theoretical X-ray powder pattern of Ba3Ag2Sb4. It was derived from the PBE geometry in Alexandria, using a wavelength of 1.5418 Å.

Peak list (10 most intense, 10 to 80 degrees two-theta, in order of rising 2θ)
two_theta  Rel. int.
27.69  38
27.81  70
27.93  100
36.10  69
36.28  38
37.49  31
46.24  21
46.39  21
52.80  17
53.20  45

```
9
Lattice="6.4827 -2.4763 0.0000 6.4827 2.4763 0.0000 -2.2238 0.0000 9.5843" Properties=species:S:1:pos:R:3 pbc="T T T"
Ba 0.0000 0.0000 0.0000
Ba 3.7755 0.0000 3.2021
Ba 6.9660 0.0000 6.3822
Ag 3.2751 0.0000 6.8691
Ag 7.4664 0.0000 2.7153
Sb 0.1089 0.0000 3.5972
Sb 1.6205 0.0000 9.0781
Sb 9.1210 0.0000 0.5062
Sb 10.6327 0.0000 5.9872
```

Record 4
The following is a theoretical X-ray powder pattern of Ba2Ag12Sb7. It was derived from the PBE geometry in Alexandria, using a wavelength of 1.5418 Å.

Peak list (10 most intense, 10 to 80 degrees two-theta, in order of rising 2θ)
two_theta  Rel. int.
30.84  100
33.63  14
37.04  16
38.68  26
41.14  13
42.13  13
43.36  19
44.99  10
45.36  16
72.60  12

```
21
Lattice="11.0434 0.0000 0.0000 -5.5217 9.5639 0.0000 0.0000 0.0000 4.8541" Properties=species:S:1:pos:R:3 pbc="T T T"
Ba 0.0000 6.3759 1.1395
Ba 5.5217 3.1880 3.7146
Ag -1.7665 4.1043 3.9057
Ag -0.0303 2.4218 0.8511
Ag -3.4092 8.3793 0.8511
Ag 2.0822 1.2372 4.0030
Ag -1.0840 9.0416 3.9057
Ag 2.6712 3.5820 0.9484
Ag 2.8505 5.9819 3.9057
Ag 6.6058 0.5223 0.9484
Ag 3.4395 8.3267 0.8511
Ag 8.9309 1.1846 4.0030
Ag 5.5521 7.1421 4.0030
Ag 7.2882 5.4596 0.9484
Sb 0.0000 0.0000 2.4271
Sb -2.7163 6.7281 3.3873
Sb 1.0531 3.8475 3.3873
Sb 3.8586 1.0117 1.4668
Sb 1.6632 8.5522 3.3873
Sb 4.4686 5.7164 1.4668
Sb 8.2380 2.8357 1.4668
```

Record 5
The following is a theoretical X-ray powder pattern of BaAg4Sb3. It was derived from the PBE geometry in Alexandria, using a wavelength of 1.5418 Å.

Peak list (10 most intense, 10 to 80 degrees two-theta, in order of rising 2θ)
two_theta  Rel. int.
27.11  66
27.71  58
32.83  49
36.81  100
40.07  81
44.76  20
46.31  30
53.05  34
68.50  31
74.90  27

```
8
Lattice="4.8829 0.0000 0.0000 0.0000 4.8829 0.0000 0.0000 0.0000 8.9006" Properties=species:S:1:pos:R:3 pbc="T T T"
Ba 0.0000 0.0000 0.0000
Ag 0.0000 2.4414 2.9118
Ag 0.0000 2.4414 5.9888
Ag 2.4414 0.0000 2.9118
Ag 2.4414 0.0000 5.9888
Sb 0.0000 0.0000 4.4503
Sb 2.4414 2.4414 1.4404
Sb 2.4414 2.4414 7.4602
```

Record 6
The following is a theoretical X-ray powder pattern of Ba2AgSbSe4. It was derived from the PBE geometry in Alexandria, using a wavelength of 1.5418 Å.

Peak list (10 most intense, 10 to 80 degrees two-theta, in order of rising 2θ)
two_theta  Rel. int.
28.59  100
39.81  13
40.89  48
41.86  11
49.76  13
51.50  12
59.14  7
67.04  20
73.00  7
75.79  7

```
16
Lattice="-4.3158 4.5287 6.2372 4.3158 -4.5287 6.2372 4.3158 4.5287 -6.2372" Properties=species:S:1:pos:R:3 pbc="T T T"
Ba 0.0000 0.0000 0.0000
Ba -2.1579 2.2643 3.1186
Ba 0.0000 4.5287 0.0000
Ba 2.1579 2.2643 3.1186
Ag 4.3158 0.0000 0.0000
Ag 0.0000 0.0000 6.2372
Sb 2.1579 2.2643 -3.1186
Sb 2.1579 -2.2643 3.1186
Se 4.3158 -0.2330 2.9920
Se 4.3158 4.2956 -2.9920
Se 2.3368 2.2643 -0.1803
Se 6.2949 2.2643 -0.1803
Se -1.9790 2.2643 6.4175
Se 1.9790 2.2643 6.4175
Se 0.0000 0.2330 9.2292
Se 0.0000 4.7617 3.2452
```